No. 1
For MgIn2S4, a structure optimized by DFT (GGA-PBE) gives the theoretical X-ray diffraction stick pattern in this record (Cu Kα X-rays).
Lines closer than 0.1° are merged.

Top 12 peaks for 2θ from 10° to 80°, in order of rising 2θ:
2θ/deg	I (rel.)	h k l
13.30	542	1 0 1
14.55	1000	0 1 1
21.34	407	2 0 0
24.44	941	0 2 0
25.93	350	2 1 1
27.07	395	0 1 3
29.15	380	1 1 3
29.51	374	2 1 2
35.55	658	3 1 1
36.27	757	1 2 3
40.94	353	0 2 4
46.61	456	4 0 2

Structural model:
```
data_MgIn2S4
_chemical_formula_sum 'Mg4 In8 S16'
_symmetry_space_group_name_H-M 'P n m a'
_symmetry_Int_Tables_number 62
_cell_length_a 8.3262
_cell_length_b 7.2850
_cell_length_c 11.0816
_cell_angle_alpha 90.00
_cell_angle_beta 90.00
_cell_angle_gamma 90.00
loop_
_symmetry_equiv_pos_as_xyz
'x,y,z'
'-x,-y,-z'
'-x+1/2,-y,z+1/2'
'x+1/2,y,-z+1/2'
'x+1/2,-y+1/2,-z+1/2'
'-x+1/2,y+1/2,z+1/2'
'-x,y+1/2,-z'
'x,-y+1/2,z'
loop_
_atom_site_label
_atom_site_fract_x
_atom_site_fract_y
_atom_site_fract_z
Mg1 0.1915 0.2500 0.0802
In1 0.0154 0.7500 0.2104
In2 0.0933 0.2500 0.4830
S1 0.0902 0.5238 0.6455
S2 0.0991 0.7500 0.9930
S3 0.2357 0.7500 0.3665
```

---

No. 2
For MgIn2S4, a structure optimized by DFT (GGA-PBE) gives the theoretical X-ray diffraction stick pattern in this record (Cu Kα X-rays).
Lines closer than 0.1° are merged.

Top 12 peaks for 2θ from 10° to 80°, in order of rising 2θ:
2θ/deg	I (rel.)	h k l
14.08	1000	1 1 1
27.14	969	3 1 1
28.37	161	2 2 2
32.88	965	4 0 0
35.93	187	3 3 1
43.14	437	5 1 1
47.19	869	4 4 0
49.49	237	5 3 1
58.71	216	4 4 4
65.84	205	5 5 3
68.95	131	8 0 0
78.52	271	8 4 0

Structural model:
Cell: 10.8960 10.8960 10.8960 Å, 90.00 90.00 90.00°
Space group Fd-3m (No. 227, origin choice 2)
One atom of each set of equivalent atoms:
Mg 0.1250 0.1250 0.1250 (multiplicity 8)
In 0.0000 0.0000 0.5000 (multiplicity 16)
S 0.0071 0.0071 0.7429 (multiplicity 32)

---

No. 3
For MgIn2S4, a structure optimized by DFT (GGA-PBE) gives the theoretical X-ray diffraction stick pattern in this record (Cu Kα X-rays).
Lines closer than 0.1° are merged.

Top 12 peaks for 2θ from 10° to 80°, in order of rising 2θ:
2θ/deg	I (rel.)	h k l
15.41	490	1 0 1
19.20	839	1 1 1
24.67	503	3 0 1
26.68	355	2 2 0
27.23	532	4 0 0
27.71	584	1 2 1
30.17	246	2 2 1
38.96	1000	2 2 2
39.35	381	4 0 2
44.00	256	5 2 1
46.78	245	0 4 0
47.75	365	6 2 0

Structural model:
```
data_MgIn2S4
_chemical_formula_sum 'Mg4 In8 S16'
_symmetry_space_group_name_H-M 'P n m a'
_symmetry_Int_Tables_number 62
_cell_length_a 13.1124
_cell_length_b 7.7682
_cell_length_c 6.3998
_cell_angle_alpha 90.00
_cell_angle_beta 90.00
_cell_angle_gamma 90.00
loop_
_symmetry_equiv_pos_as_xyz
'x,y,z'
'-x,-y,-z'
'-x+1/2,-y,z+1/2'
'x+1/2,y,-z+1/2'
'x+1/2,-y+1/2,-z+1/2'
'-x+1/2,y+1/2,z+1/2'
'-x,y+1/2,-z'
'x,-y+1/2,z'
loop_
_atom_site_label
_atom_site_fract_x
_atom_site_fract_y
_atom_site_fract_z
Mg1 0.0934 0.2500 0.0686
In1 0.0000 0.0000 0.5000
In2 0.2284 0.7500 0.0025
S1 0.0742 0.7500 0.7535
S2 0.0925 0.2500 0.6894
S3 0.1663 0.0036 0.2555
```

---

No. 4
For MgIn2S4, a structure optimized by DFT (GGA-PBE) gives the theoretical X-ray diffraction stick pattern in this record (Cu Kα X-rays).
Lines closer than 0.1° are merged.

Top 12 peaks for 2θ from 10° to 80°, in order of rising 2θ:
2θ/deg	I (rel.)	h k l
14.25	328	1 0 1
24.53	1000	2 1 1
24.96	519	1 1 2
28.23	144	2 2 0
31.64	337	3 1 0
32.67	159	1 0 3
37.74	218	3 2 1
38.52	266	2 1 3
41.82	142	0 0 4
45.70	215	4 0 2
50.28	297	4 2 2
53.38	149	3 1 4

Structural model:
```
data_MgIn2S4
_chemical_formula_sum 'Mg4 In8 S16'
_symmetry_space_group_name_H-M 'I -4 2 d'
_symmetry_Int_Tables_number 122
_symmetry_space_group_name_Hall 'I -4 2bw'
_cell_length_a 8.9420
_cell_length_b 8.9420
_cell_length_c 8.6396
_cell_angle_alpha 90.00
_cell_angle_beta 90.00
_cell_angle_gamma 90.00
loop_
_atom_site_label
_atom_site_fract_x
_atom_site_fract_y
_atom_site_fract_z
Mg1 0.0000 0.0000 0.0000
In1 0.1157 0.2500 0.6250
S1 0.0006 0.7434 0.8874
```

---

No. 5
For Mg2Ti3InS8, a structure optimized by DFT (GGA-PBE) gives the theoretical X-ray diffraction stick pattern in this record (Cu Kα X-rays).
Lines closer than 0.1° are merged.

Top 12 peaks for 2θ from 10° to 80°, in order of rising 2θ:
2θ/deg	I (rel.)	h k l
14.83	767	1 1 0
16.94	108	2 0 0
24.48	168	0 2 0
27.61	279	1 1 -2
28.37	633	0 2 1
34.26	1000	4 0 0
45.06	215	5 1 0
45.56	174	6 0 -1
48.29	486	2 2 2
50.17	462	0 4 0
62.16	148	4 4 0
72.19	133	8 0 0

Structural model:
```
data_Mg2Ti3InS8
_chemical_formula_sum 'Mg4 Ti6 In2 S16'
_symmetry_space_group_name_H-M 'C 1 m 1'
_symmetry_Int_Tables_number 8
_cell_length_a 12.6043
_cell_length_b 7.2709
_cell_length_c 7.5539
_cell_angle_alpha 90.00
_cell_angle_beta 123.87
_cell_angle_gamma 90.00
loop_
_symmetry_equiv_pos_as_xyz
'x,y,z'
'x,-y,z'
'x+1/2,y+1/2,z'
'x+1/2,-y+1/2,z'
loop_
_atom_site_label
_atom_site_fract_x
_atom_site_fract_y
_atom_site_fract_z
Mg1 0.0000 0.0000 0.0000
Mg2 0.2453 0.5000 0.2360
Ti1 0.1225 0.2499 0.6178
Ti2 0.3726 0.0000 0.6179
In1 0.3726 0.0000 0.1183
S1 0.1137 0.5000 0.8413
S2 0.1222 0.5000 0.3940
S3 0.1231 0.0000 0.8416
S4 0.1314 0.0000 0.3946
S5 0.3593 0.2364 0.8416
S6 0.3860 0.2364 0.3944
```

---

No. 6
For Mg2V3InS8, a structure optimized by DFT (GGA-PBE) gives the theoretical X-ray diffraction stick pattern in this record (Cu Kα X-rays).
Lines closer than 0.1° are merged.

Top 12 peaks for 2θ from 10° to 80°, in order of rising 2θ:
2θ/deg	I (rel.)	h k l
14.86	810	2 0 -1
17.04	99	1 1 -1
24.47	160	0 2 0
28.00	285	2 0 1
28.50	618	3 1 0
34.47	1000	4 0 0
45.31	229	4 2 -3
45.64	173	6 0 -1
48.91	465	2 2 2
50.16	470	0 4 0
62.28	149	4 4 0
70.14	88	6 4 -1

Structural model:
```
data_Mg2V3InS8
_chemical_formula_sum 'Mg4 V6 In2 S16'
_symmetry_space_group_name_H-M 'C 1 2/m 1'
_symmetry_Int_Tables_number 12
_cell_length_a 12.5981
_cell_length_b 7.2763
_cell_length_c 7.4455
_cell_angle_alpha 90.00
_cell_angle_beta 124.22
_cell_angle_gamma 90.00
loop_
_symmetry_equiv_pos_as_xyz
'x,y,z'
'-x,-y,-z'
'-x,y,-z'
'x,-y,z'
'x+1/2,y+1/2,z'
'-x+1/2,-y+1/2,-z'
'-x+1/2,y+1/2,-z'
'x+1/2,-y+1/2,z'
loop_
_atom_site_label
_atom_site_fract_x
_atom_site_fract_y
_atom_site_fract_z
Mg1 0.1265 0.0000 0.3794
V1 0.0000 0.5000 0.0000
V2 0.2500 0.2500 0.0000
In1 0.0000 0.5000 0.5000
S1 0.0145 0.2650 0.7784
S2 0.2387 0.5000 0.2157
S3 0.2494 0.5000 0.7784
```

---

No. 7
For MgSc2In, a structure optimized by DFT (GGA-PBE) gives the theoretical X-ray diffraction stick pattern in this record (Cu Kα X-rays).
Lines closer than 0.1° are merged.

Top 12 peaks for 2θ from 10° to 80°, in order of rising 2θ:
2θ/deg	I (rel.)	h k l
21.62	365	1 1 1
25.01	62	2 0 0
35.66	1000	2 2 0
42.08	193	3 1 1
44.05	21	2 2 2
51.32	167	4 0 0
56.31	80	3 3 1
57.91	29	4 2 0
64.06	328	4 2 2
68.46	59	5 1 1
75.53	99	4 4 0
79.65	58	5 3 1

Structural model:
```
data_MgSc2In
_chemical_formula_sum 'Mg4 Sc8 In4'
_symmetry_space_group_name_H-M 'F m -3 m'
_symmetry_Int_Tables_number 225
_symmetry_space_group_name_Hall '-F 4 2 3'
_cell_length_a 7.1210
_cell_length_b 7.1210
_cell_length_c 7.1210
_cell_angle_alpha 90.00
_cell_angle_beta 90.00
_cell_angle_gamma 90.00
loop_
_atom_site_label
_atom_site_fract_x
_atom_site_fract_y
_atom_site_fract_z
Mg1 0.0000 0.0000 0.0000
Sc1 0.2500 0.2500 0.2500
In1 0.0000 0.0000 0.5000
```

---

No. 8
For MgIn2Se4, a structure optimized by DFT (GGA-PBE) gives the theoretical X-ray diffraction stick pattern in this record (Cu Kα X-rays).
Lines closer than 0.1° are merged.

Top 12 peaks for 2θ from 10° to 80°, in order of rising 2θ:
2θ/deg	I (rel.)	h k l
19.77	788	0 0 3
24.95	322	2 0 0
25.18	815	2 0 1
25.25	426	-1 2 1
26.43	378	0 0 4
27.18	236	2 0 2
29.37	383	2 0 -2
30.55	700	-1 2 3
34.95	557	2 0 4
43.60	1000	3 2 1
43.86	673	3 -2 0
45.78	932	1 2 -5

Structural model:
```
data_MgIn2Se4
_chemical_formula_sum 'Mg4 In8 Se16'
_symmetry_space_group_name_H-M 'P -1'
_symmetry_Int_Tables_number 2
_cell_length_a 7.1696
_cell_length_b 8.2992
_cell_length_c 13.6937
_cell_angle_alpha 81.00
_cell_angle_beta 84.88
_cell_angle_gamma 89.61
loop_
_symmetry_equiv_pos_as_xyz
'x,y,z'
'-x,-y,-z'
loop_
_atom_site_label
_atom_site_fract_x
_atom_site_fract_y
_atom_site_fract_z
Mg1 0.1331 0.1993 0.2020
Mg2 0.2480 0.3745 0.4989
In1 0.1380 0.6995 0.2027
In2 0.2418 0.8759 0.4997
In3 0.3694 0.5543 0.7970
In4 0.3698 0.0469 0.7988
Se1 0.0993 0.6478 0.3955
Se2 0.1037 0.1547 0.3934
Se3 0.1836 0.7803 0.8802
Se4 0.1858 0.2798 0.8814
Se5 0.3109 0.9720 0.1197
Se6 0.3117 0.4681 0.1199
Se7 0.3989 0.1022 0.6047
Se8 0.4002 0.5964 0.6034
```

---

No. 9
For MgInSe3, a structure optimized by DFT (GGA-PBE) gives the theoretical X-ray diffraction stick pattern in this record (Cu Kα X-rays).
Lines closer than 0.1° are merged.

Top 12 peaks for 2θ from 10° to 80°, in order of rising 2θ:
2θ/deg	I (rel.)	h k l
11.03	301	0 0 1
15.80	144	1 1 0
22.17	1000	0 0 2
28.71	312	1 3 0
29.15	182	1 3 -1
30.64	294	2 2 -1
32.50	409	1 3 1
33.58	165	1 3 -2
39.43	334	2 2 -3
40.94	216	0 4 2
45.23	151	0 0 4
46.64	204	3 3 -1

Structural model:
```
data_MgInSe3
_chemical_formula_sum 'Mg4 In4 Se12'
_symmetry_space_group_name_H-M 'C 1 2/m 1'
_symmetry_Int_Tables_number 12
_cell_length_a 7.0294
_cell_length_b 10.5534
_cell_length_c 8.5102
_cell_angle_alpha 90.00
_cell_angle_beta 109.56
_cell_angle_gamma 90.00
loop_
_symmetry_equiv_pos_as_xyz
'x,y,z'
'-x,-y,-z'
'-x,y,-z'
'x,-y,z'
'x+1/2,y+1/2,z'
'-x+1/2,-y+1/2,-z'
'-x+1/2,y+1/2,-z'
'x+1/2,-y+1/2,z'
loop_
_atom_site_label
_atom_site_fract_x
_atom_site_fract_y
_atom_site_fract_z
Mg1 0.0000 0.1732 0.0000
In1 0.0508 0.5000 0.2243
Se1 0.1945 0.0000 0.2431
Se2 0.2153 0.1860 0.7782
```

---

No. 10
For MgIn2Se4, a structure optimized by DFT (GGA-PBE) gives the theoretical X-ray diffraction stick pattern in this record (Cu Kα X-rays).
Lines closer than 0.1° are merged.

Top 12 peaks for 2θ from 10° to 80°, in order of rising 2θ:
2θ/deg	I (rel.)	h k l
23.85	269	2 0 3
29.61	612	2 0 4
30.10	310	3 2 0
30.84	1000	3 2 1
32.95	524	3 2 2
35.79	224	2 0 5
43.06	306	6 0 2
45.25	370	0 4 0
45.70	320	5 2 3
46.66	381	1 2 6
49.23	276	5 2 4
79.58	207	4 4 8

Structural model:
```
data_MgIn2Se4
_chemical_formula_sum 'Mg8 In16 Se32'
_symmetry_space_group_name_H-M 'P c a 21'
_symmetry_Int_Tables_number 29
_cell_length_a 13.2475
_cell_length_b 8.0166
_cell_length_c 13.5533
_cell_angle_alpha 90.00
_cell_angle_beta 90.00
_cell_angle_gamma 90.00
loop_
_symmetry_equiv_pos_as_xyz
'x,y,z'
'-x,-y,z+1/2'
'-x+1/2,y,z+1/2'
'x+1/2,-y,z'
loop_
_atom_site_label
_atom_site_fract_x
_atom_site_fract_y
_atom_site_fract_z
Mg1 0.1023 0.1474 0.0000
Mg2 0.1244 0.6290 0.6129
In1 0.0889 0.6378 0.9755
In2 0.1252 0.1328 0.6263
In3 0.1624 0.3818 0.2485
In4 0.1626 0.8863 0.2355
Se1 0.0263 0.1441 0.1931
Se2 0.0263 0.6211 0.4424
Se3 0.0268 0.0936 0.4549
Se4 0.0324 0.6349 0.1756
Se5 0.2122 0.6341 0.8048
Se6 0.2129 0.1278 0.8117
Se7 0.2453 0.3780 0.0651
Se8 0.2479 0.8807 0.0577
```